# 1
# NbCdGeTe
Computed XRD peak list, Cu Kα. Input: a PBE-relaxed structure.

abc: 5.9179 3.7286 8.7196
angles: 90.00 103.30 90.00
Space group Cm (No. 8)
Symmetry-distinct sites (fractional):
1 Nb 0.0000 0.0000 0.0000 x2
2 Cd 0.1506 0.0000 0.4283 x2
3 Ge 0.2202 0.5000 0.2044 x2
4 Te 0.2667 0.0000 0.7790 x2

Main lines, by angle (2θ = 10–80°):
index	2theta	I_rel
1 1 0	28.52	79
1 1 -1	29.15	52
2 0 -1	30.40	44
1 1 1	31.67	78
1 1 2	37.79	98
2 0 -3	39.17	37
1 1 -3	40.21	100
2 0 2	41.76	37
0 2 0	48.83	49
3 1 -1	52.48	59

***

# 2
# GdDyMg
Computed XRD peak list, Cu Kα. Input: a PBE-relaxed structure.

abc: 5.4556 5.4556 3.3793
angles: 90.00 90.00 120.00
Space group P3m1 (No. 156)
Symmetry-distinct sites (fractional):
1 Gd 0.0000 0.0000 0.0000 x1
2 Dy 0.3333 0.6667 0.4180 x1
3 Mg 0.6667 0.3333 0.7049 x1

Main lines, by angle (2θ = 10–80°):
index	2theta	I_rel
1 0 0	18.78	45
0 1 1	32.58	100
1 1 0	32.83	77
2 0 1	46.93	36
1 0 2	57.97	12
1 2 1	58.45	38
3 0 0	58.62	15
1 1 2	64.92	12
2 1 2	77.82	10
3 1 1	78.25	16

***

# 3
# Mg8Cd2Ag
Computed XRD peak list, Cu Kα. Input: a PBE-relaxed structure.

abc: 16.0544 4.9045 6.6827
angles: 90.00 113.75 90.00
Space group C2/m (No. 12)
Symmetry-distinct sites (fractional):
1 Mg 0.0045 0.0000 0.2472 x4
2 Mg 0.1332 0.5000 0.9125 x4
3 Mg 0.1473 0.5000 0.3909 x4
4 Mg 0.1773 0.0000 0.6927 x4
5 Cd 0.1822 0.0000 0.1783 x4
6 Ag 0.0000 0.5000 0.5000 x2

Main lines, by angle (2θ = 10–80°):
index	2theta	I_rel
2 0 1	22.34	52
1 1 -1	22.49	100
4 0 -1	22.67	54
3 1 0	25.70	53
2 0 -2	26.68	24
0 2 0	36.66	93
1 1 2	37.18	97
5 1 -2	37.59	86
2 2 1	43.32	33
6 2 0	52.83	26

***

# 4
# Ag2GeO3
Computed XRD peak list, Cu Kα. Input: a PBE-relaxed structure.

abc: 10.0051 6.8397 5.2760
angles: 90.00 90.00 90.00
Space group Cmc2_1 (No. 36)
Symmetry-distinct sites (fractional):
1 Ag 0.1497 0.0892 0.0000 x8
2 Ge 0.0000 0.3616 0.5220 x4
3 O 0.0000 0.4028 0.1808 x4
4 O 0.1490 0.2391 0.5985 x8

Main lines, by angle (2θ = 10–80°):
index	2theta	I_rel
1 1 0	15.69	18
3 1 0	29.80	96
0 2 1	31.17	100
0 0 2	33.98	52
3 1 1	34.41	44
3 1 2	45.82	46
3 3 1	51.56	47
0 2 3	59.07	17
6 2 1	64.65	17
3 3 3	73.73	15

***

# 5
# YC2O6
Computed XRD peak list, Cu Kα. Input: a PBE-relaxed structure.

abc: 7.8871 7.8871 6.9165
angles: 90.00 90.00 90.00
Space group I-42d (No. 122)
Symmetry-distinct sites (fractional):
1 Y 0.0000 0.0000 0.0000 x4
2 C 0.1831 0.2500 0.6250 x8
3 O 0.1026 0.1469 0.7335 x16
4 O 0.1519 0.2500 0.1250 x8

Main lines, by angle (2θ = 10–80°):
index	2theta	I_rel
1 0 1	17.05	100
2 0 0	22.55	15
2 1 1	28.40	82
1 1 2	30.41	41
2 2 0	32.10	35
3 2 1	43.39	24
3 1 2	44.80	62
2 1 3	47.09	26
4 1 1	49.43	18
5 1 2	66.18	15

***

# 6
# PmTmPt
Computed XRD peak list, Cu Kα. Input: a PBE-relaxed structure.

abc: 6.8524 13.3753 7.1306
angles: 90.00 90.00 90.00
Space group Pbca (No. 61)
Symmetry-distinct sites (fractional):
1 Pm 0.2008 0.1973 0.1028 x8
2 Tm 0.0030 0.5306 0.7609 x8
3 Pt 0.2277 0.6009 0.4603 x8

Main lines, by angle (2θ = 10–80°):
index	2theta	I_rel
1 2 1	22.37	59
2 2 0	29.29	52
0 4 1	29.50	41
1 2 2	31.28	41
2 2 1	31.92	49
1 4 1	32.33	95
2 0 2	36.37	100
0 4 2	36.85	46
2 4 0	37.59	41
0 2 3	40.27	43

***

# 7
# Be2BH3O5
Computed XRD peak list, Cu Kα. Input: a PBE-relaxed structure.

abc: 4.4400 4.4582 5.4096
angles: 91.91 90.80 119.80
Space group P1 (No. 1)
Symmetry-distinct sites (fractional):
1 Be 0.0000 0.0000 0.0000 x1
2 Be 0.3403 0.6808 0.2053 x1
3 B 0.6705 0.3411 0.0976 x1
4 H 0.1276 0.8685 0.6123 x1
5 H 0.2380 0.4747 0.5735 x1
6 H 0.7484 0.8720 0.6105 x1
7 O 0.3493 0.7056 0.5051 x1
8 O 0.3617 0.0324 0.0994 x1
9 O 0.6706 0.6503 0.0989 x1
10 O 0.9800 0.3401 0.0941 x1
11 O 0.9935 0.9803 0.6906 x1

Main lines, by angle (2θ = 10–80°):
index	2theta	I_rel
0 0 1	16.41	100
0 1 0	23.04	14
0 1 -1	27.75	42
-1 1 1	28.62	32
1 0 1	28.95	34
0 0 2	33.16	65
1 -2 0	40.48	27
2 -1 0	40.63	17
-2 1 1	43.88	12
1 1 1	44.71	13

***

# 8
# La5Sm2Y2
Computed XRD peak list, Cu Kα. Input: a PBE-relaxed structure.

abc: 3.6854 5.2366 16.7563
angles: 98.98 96.27 90.13
Space group P-1 (No. 2)
Symmetry-distinct sites (fractional):
1 La 0.0000 0.0000 0.0000 x1
2 La 0.2219 0.2218 0.4440 x2
3 La 0.4440 0.4433 0.8877 x2
4 Sm 0.3347 0.3341 0.6685 x2
5 Y 0.1121 0.1127 0.2247 x2

Main lines, by angle (2θ = 10–80°):
index	2theta	I_rel
1 1 -1	29.64	100
0 1 4	29.81	98
0 2 -1	34.25	34
1 0 4	34.56	66
1 2 3	49.45	60
1 3 -2	58.59	22
2 -1 4	58.79	14
2 1 3	58.86	14
1 1 8	59.12	28
0 2 8	61.92	12